(1)
Starting from a structure optimized by DFT (PBE), the powder XRD pattern of K3LiCl4 was calculated for CuKα.

Structural model:
```
K3LiCl4
1.0
8.790 0.000 0.000
0.000 10.908 0.000
0.000 0.000 9.628
K Li Cl
12 4 16
Cartesian
0.421 0.451 2.100 K
0.421 5.003 2.100 K
1.011 8.181 4.204 K
3.384 2.727 9.018 K
3.974 5.905 6.915 K
3.974 10.457 6.915 K
4.816 0.451 2.714 K
4.816 5.003 2.714 K
5.406 8.181 0.610 K
7.779 2.727 5.424 K
8.369 5.905 7.528 K
8.369 10.457 7.528 K
1.762 8.181 9.573 Li
2.633 2.727 4.759 Li
6.157 8.181 4.869 Li
7.028 2.727 0.055 Li
0.249 2.727 8.449 Cl
1.620 0.631 5.139 Cl
1.620 4.823 5.139 Cl
1.641 8.181 7.187 Cl
2.754 2.727 2.372 Cl
2.775 6.086 0.325 Cl
2.775 10.277 0.325 Cl
4.146 8.181 3.635 Cl
4.644 2.727 5.994 Cl
6.014 0.631 9.303 Cl
6.014 4.823 9.303 Cl
6.036 8.181 7.256 Cl
7.149 2.727 2.442 Cl
7.170 6.086 4.489 Cl
7.170 10.277 4.489 Cl
8.541 8.181 1.179 Cl
```

Top 10 peaks for 5° ≤ 2θ ≤ 70°, sorted by position:
2θ 27.48, I 31
2θ 28.13, I 57
2θ 29.00, I 72
2θ 29.63, I 39
2θ 31.94, I 100
2θ 32.09, I 78
2θ 32.84, I 40
2θ 33.31, I 62
2θ 38.45, I 43
2θ 50.59, I 31

---

(2)
Starting from a structure optimized by DFT (PBE), the powder XRD pattern of Ac3Zn3Ir2 was calculated for CuKα.

Structural model:
```
Ac3Zn3Ir2
1.0
2.118 -5.855 0.000
2.118 5.855 0.000
0.000 0.000 16.724
Ac Zn Ir
6 6 4
Cartesian
2.118 4.840 12.543 Ac
2.118 1.723 9.812 Ac
2.118 1.723 15.274 Ac
2.118 -1.723 1.450 Ac
2.118 -1.723 6.912 Ac
2.118 -4.840 4.181 Ac
2.118 4.962 9.315 Zn
2.118 4.962 15.771 Zn
2.118 3.462 4.181 Zn
2.118 -3.462 12.543 Zn
2.118 -4.962 0.953 Zn
2.118 -4.962 7.409 Zn
2.118 1.968 2.007 Ir
2.118 1.968 6.355 Ir
2.118 -1.968 10.369 Ir
2.118 -1.968 14.717 Ir
```

Top 10 peaks for 5° ≤ 2θ ≤ 70°, sorted by position:
2θ 30.54, I 38
2θ 31.01, I 100
2θ 31.16, I 81
2θ 31.63, I 47
2θ 32.11, I 53
2θ 35.03, I 43
2θ 38.03, I 80
2θ 42.69, I 50
2θ 51.65, I 42
2θ 54.44, I 38

---

(3)
Starting from a structure optimized by DFT (PBE), the powder XRD pattern of Cs4In2Au5 was calculated for CuKα.

Structural model:
```
Cs4In2Au5
1.0
-5.309 11.083 3.358
5.309 -11.083 3.358
5.309 11.083 -3.358
Cs In Au
8 4 10
Cartesian
7.646 1.276 0.000 Cs
1.194 3.227 0.000 Cs
6.503 7.856 0.000 Cs
2.337 9.807 0.000 Cs
2.972 1.276 3.358 Cs
-1.194 3.227 3.358 Cs
4.115 7.856 3.358 Cs
-2.337 9.807 3.358 Cs
5.309 -4.542 1.679 In
5.309 4.542 1.679 In
0.000 6.541 1.679 In
0.000 15.625 1.679 In
4.461 2.329 0.000 Au
3.322 -6.060 3.358 Au
0.000 0.000 1.679 Au
3.322 6.060 0.000 Au
4.461 -2.329 3.358 Au
0.848 13.412 0.000 Au
1.987 5.023 3.358 Au
0.000 0.000 5.037 Au
1.987 17.143 0.000 Au
0.848 8.754 3.358 Au
```

Top 10 peaks for 5° ≤ 2θ ≤ 70°, sorted by position:
2θ 21.72, I 46
2θ 26.55, I 41
2θ 27.95, I 50
2θ 28.84, I 99
2θ 29.44, I 57
2θ 29.65, I 100
2θ 30.43, I 39
2θ 31.53, I 34
2θ 35.57, I 93
2θ 38.45, I 54

---

(4)
Starting from a structure optimized by DFT (PBE), the powder XRD pattern of K2ThF8 was calculated for CuKα.

Structural model:
```
K2ThF8
1.0
7.162 -2.075 0.000
7.162 2.075 0.000
-2.926 0.000 5.783
K Th F
2 1 8
Cartesian
2.064 0.000 1.046 K
9.335 0.000 4.737 K
5.699 0.000 2.892 Th
-0.824 0.000 1.633 F
12.223 0.000 4.150 F
0.255 0.000 3.767 F
3.480 0.000 3.521 F
4.901 0.000 0.728 F
6.497 0.000 5.055 F
7.919 0.000 2.263 F
11.143 0.000 2.016 F
```

Top 10 peaks for 5° ≤ 2θ ≤ 70°, sorted by position:
2θ 13.86, I 44
2θ 15.33, I 100
2θ 22.53, I 26
2θ 25.01, I 47
2θ 25.49, I 42
2θ 29.13, I 27
2θ 30.06, I 23
2θ 38.16, I 23
2θ 41.21, I 66
2θ 42.43, I 17

---

(5)
Starting from a structure optimized by DFT (PBE), the powder XRD pattern of Ba4Sc3O10 was calculated for CuKα.

Structural model:
```
Ba4Sc3O10
1.0
-2.109 2.109 15.184
2.109 -2.109 15.184
2.109 2.109 -15.184
Ba Sc O
4 3 10
Cartesian
0.000 0.000 2.089 Ba
0.000 0.000 6.122 Ba
0.000 0.000 24.246 Ba
0.000 0.000 28.279 Ba
0.000 0.000 10.962 Sc
0.000 0.000 15.184 Sc
0.000 0.000 19.405 Sc
2.109 0.000 0.000 O
2.109 0.000 4.223 O
0.000 0.000 8.819 O
2.109 0.000 10.960 O
0.000 0.000 13.071 O
0.000 2.109 0.000 O
0.000 0.000 17.297 O
0.000 2.109 4.223 O
0.000 0.000 21.548 O
0.000 2.109 10.960 O
```

Top 10 peaks for 5° ≤ 2θ ≤ 70°, sorted by position:
2θ 21.27, I 21
2θ 23.44, I 13
2θ 29.54, I 100
2θ 29.96, I 63
2θ 38.39, I 35
2θ 41.64, I 14
2θ 42.89, I 39
2θ 52.14, I 14
2θ 52.94, I 40
2θ 61.31, I 16

---

(6)
Starting from a structure optimized by DFT (PBE), the powder XRD pattern of BaPr2Sc was calculated for CuKα.

Structural model:
```
BaPr2Sc
1.0
3.974 0.000 0.000
0.000 3.974 0.000
0.000 0.000 9.720
Ba Pr Sc
1 2 1
Cartesian
0.000 0.000 0.000 Ba
1.987 1.987 2.984 Pr
1.987 1.987 6.736 Pr
0.000 0.000 4.860 Sc
```

Top 10 peaks for 5° ≤ 2θ ≤ 70°, sorted by position:
2θ 24.20, I 35
2θ 27.53, I 21
2θ 29.03, I 100
2θ 31.85, I 54
2θ 42.59, I 26
2θ 45.66, I 20
2θ 52.37, I 26
2θ 54.15, I 13
2θ 55.02, I 32
2θ 66.60, I 13